This entry pairs a crystal structure of Tm2Hg2Au with its simulated X-ray diffraction stick pattern. Radiation: Cu Ka. Structure: the PBE geometry in Alexandria.
Peak positions follow from Bragg's law for the DFT cell and can differ from measured ones.

The 6 most intense peaks (5° ≤ 2θ ≤ 70°), in order of rising 2θ:
hkl 2 1 1, 31.8°, I 84.7; hkl 1 1 2, 33.7°, I 65.1; hkl 1 4 1, 34.6°, I 93.7; hkl 1 5 0, 37.7°, I 100.0; hkl 2 0 2, 40.8°, I 64.1; hkl 0 4 2, 41.3°, I 89.3

Structural model:
```
data_Tm2Hg2Au
_chemical_formula_sum 'Tm8 Hg8 Au4'
_symmetry_space_group_name_H-M 'I b a m'
_symmetry_Int_Tables_number 72
_symmetry_space_group_name_Hall '-I 2 2c'
_cell_length_a 6.5857
_cell_length_b 12.8063
_cell_length_c 5.9715
_cell_angle_alpha 90.00
_cell_angle_beta 90.00
_cell_angle_gamma 90.00
loop_
_atom_site_label
_atom_site_type_symbol
_atom_site_fract_x
_atom_site_fract_y
_atom_site_fract_z
_atom_site_occupancy
Tm1 Tm 0.2115 0.1612 0.0000 1
Hg1 Hg 0.1507 0.3966 0.0000 1
Au1 Au 0.0000 0.0000 0.2500 1
```


This entry pairs a crystal structure of Y4Hg5Au2 with its simulated X-ray diffraction stick pattern. Radiation: Cu Ka. Structure: the PBE geometry in Alexandria.
Peak positions follow from Bragg's law for the DFT cell and can differ from measured ones.

The 6 most intense peaks (5° ≤ 2θ ≤ 70°), in order of rising 2θ:
hkl 0 1 0, 24.9°, I 98.5; hkl 1 1 -2, 32.5°, I 67.9; hkl 1 1 2, 33.6°, I 77.3; hkl 2 1 0, 34.2°, I 62.9; hkl 3 0 -1, 35.3°, I 45.7; hkl 2 0 3, 37.5°, I 100.0

Structural model:
```
data_Y4Hg5Au2
_chemical_formula_sum 'Y4 Hg5 Au2'
_symmetry_space_group_name_H-M 'P 1 2/m 1'
_symmetry_Int_Tables_number 10
_cell_length_a 7.7442
_cell_length_b 3.5782
_cell_length_c 9.8757
_cell_angle_alpha 90.00
_cell_angle_beta 94.96
_cell_angle_gamma 90.00
loop_
_symmetry_equiv_pos_as_xyz
'x,y,z'
'-x,-y,-z'
'-x,y,-z'
'x,-y,z'
loop_
_atom_site_label
_atom_site_type_symbol
_atom_site_fract_x
_atom_site_fract_y
_atom_site_fract_z
_atom_site_occupancy
Y1 Y 0.1792 0.0000 0.3691 1
Y2 Y 0.2419 0.0000 0.9357 1
Hg1 Hg 0.1710 0.5000 0.6451 1
Hg2 Hg 0.4586 0.5000 0.1816 1
Hg3 Hg 0.5000 0.5000 0.5000 1
Au1 Au 0.0733 0.5000 0.1369 1
```


This entry pairs a crystal structure of Y6Hg5Au with its simulated X-ray diffraction stick pattern. Radiation: Cu Ka. Structure: the PBE geometry in Alexandria.
Peak positions follow from Bragg's law for the DFT cell and can differ from measured ones.

The 6 most intense peaks (5° ≤ 2θ ≤ 70°), in order of rising 2θ:
hkl 1 3 2, 34.2°, I 100.0; hkl 2 0 0, 34.3°, I 19.9; hkl 2 6 0, 49.2°, I 14.3; hkl 2 0 4, 61.1°, I 14.9; hkl 1 9 2, 61.2°, I 14.7; hkl 3 3 2, 61.4°, I 14.8

Structural model:
```
data_Y6Hg5Au
_chemical_formula_sum 'Y12 Hg10 Au2'
_symmetry_space_group_name_H-M 'C m m m'
_symmetry_Int_Tables_number 65
_symmetry_space_group_name_Hall '-C 2 2'
_cell_length_a 5.2282
_cell_length_b 15.7235
_cell_length_c 7.4392
_cell_angle_alpha 90.00
_cell_angle_beta 90.00
_cell_angle_gamma 90.00
loop_
_atom_site_label
_atom_site_type_symbol
_atom_site_fract_x
_atom_site_fract_y
_atom_site_fract_z
_atom_site_occupancy
Y1 Y 0.0000 0.0000 0.2428 1
Y2 Y 0.0000 0.3366 0.2475 1
Hg1 Hg 0.0000 0.1679 0.5000 1
Hg2 Hg 0.0000 0.1704 0.0000 1
Hg3 Hg 0.0000 0.5000 0.5000 1
Au1 Au 0.0000 0.5000 0.0000 1
```


This entry pairs a crystal structure of Zn2Hg2Au with its simulated X-ray diffraction stick pattern. Radiation: Cu Ka. Structure: the PBE geometry in Alexandria.
Peak positions follow from Bragg's law for the DFT cell and can differ from measured ones.

The 6 most intense peaks (5° ≤ 2θ ≤ 70°), in order of rising 2θ:
hkl 1 1 1, 27.8°, I 29.4; hkl 2 0 1, 33.4°, I 65.6; hkl 2 1 1, 36.0°, I 100.0; hkl 3 1 0, 41.4°, I 45.3; hkl 0 0 2, 42.5°, I 27.6; hkl 3 1 2, 60.8°, I 29.2

Structural model:
```
data_Zn2Hg2Au
_chemical_formula_sum 'Zn4 Hg4 Au2'
_symmetry_space_group_name_H-M 'P 4/m b m'
_symmetry_Int_Tables_number 127
_symmetry_space_group_name_Hall '-P 4 2ab'
_cell_length_a 6.9013
_cell_length_b 6.9013
_cell_length_c 4.2536
_cell_angle_alpha 90.00
_cell_angle_beta 90.00
_cell_angle_gamma 90.00
loop_
_atom_site_label
_atom_site_type_symbol
_atom_site_fract_x
_atom_site_fract_y
_atom_site_fract_z
_atom_site_occupancy
Zn1 Zn 0.1356 0.3644 0.0000 1
Hg1 Hg 0.1745 0.6745 0.5000 1
Au1 Au 0.0000 0.0000 0.0000 1
```


This entry pairs a crystal structure of Ho2Au13 with its simulated X-ray diffraction stick pattern. Radiation: Cu Ka. Structure: the PBE geometry in Alexandria.
Peak positions follow from Bragg's law for the DFT cell and can differ from measured ones.

The 6 most intense peaks (5° ≤ 2θ ≤ 70°), in order of rising 2θ:
hkl 2 0 2, 29.2°, I 29.2; hkl 1 0 7, 35.3°, I 55.6; hkl 2 0 5, 36.3°, I 59.6; hkl 2 1 1, 37.2°, I 100.0; hkl 1 2 2, 38.1°, I 24.0; hkl 0 3 6, 51.1°, I 58.9

Structural model:
```
data_Ho2Au13
_chemical_formula_sum 'Ho6 Au39'
_symmetry_space_group_name_H-M 'R -3 m'
_symmetry_Int_Tables_number 166
_symmetry_space_group_name_Hall '-R 3 2"'
_cell_length_a 7.4329
_cell_length_b 7.4329
_cell_length_c 19.4031
_cell_angle_alpha 90.00
_cell_angle_beta 90.00
_cell_angle_gamma 120.00
loop_
_atom_site_label
_atom_site_type_symbol
_atom_site_fract_x
_atom_site_fract_y
_atom_site_fract_z
_atom_site_occupancy
Ho1 Ho 0.0000 0.0000 0.1629 1
Au1 Au 0.0000 0.0000 0.0000 1
Au2 Au 0.0741 0.5371 0.2279 1
Au3 Au 0.0797 0.5398 0.3779 1
```


This entry pairs a crystal structure of HoAu5 with its simulated X-ray diffraction stick pattern. Radiation: Cu Ka. Structure: the PBE geometry in Alexandria.
Peak positions follow from Bragg's law for the DFT cell and can differ from measured ones.

The 6 most intense peaks (5° ≤ 2θ ≤ 70°), in order of rising 2θ:
hkl 0 3 1, 34.8°, I 27.4; hkl 2 0 0, 35.7°, I 45.5; hkl 1 0 2, 39.1°, I 57.8; hkl 1 3 1, 39.3°, I 100.0; hkl 2 3 1, 50.7°, I 19.2; hkl 3 3 1, 66.5°, I 21.7

Structural model:
```
data_HoAu5
_chemical_formula_sum 'Ho2 Au10'
_symmetry_space_group_name_H-M 'P 1 21/m 1'
_symmetry_Int_Tables_number 11
_cell_length_a 5.0323
_cell_length_b 8.9009
_cell_length_c 5.1892
_cell_angle_alpha 90.00
_cell_angle_beta 90.01
_cell_angle_gamma 90.00
loop_
_symmetry_equiv_pos_as_xyz
'x,y,z'
'-x,-y,-z'
'-x,y+1/2,-z'
'x,-y+1/2,z'
loop_
_atom_site_label
_atom_site_type_symbol
_atom_site_fract_x
_atom_site_fract_y
_atom_site_fract_z
_atom_site_occupancy
Ho1 Ho 0.2493 0.2500 0.0948 1
Au1 Au 0.2496 0.0793 0.5932 1
Au2 Au 0.2503 0.5864 0.0874 1
Au3 Au 0.2510 0.7500 0.5816 1
```


This entry pairs a crystal structure of Ho5Au6 with its simulated X-ray diffraction stick pattern. Radiation: Cu Ka. Structure: the PBE geometry in Alexandria.
Peak positions follow from Bragg's law for the DFT cell and can differ from measured ones.

The 6 most intense peaks (5° ≤ 2θ ≤ 70°), in order of rising 2θ:
hkl 1 2 3, 35.5°, I 100.0; hkl 0 0 6, 36.1°, I 22.0; hkl 2 0 0, 36.4°, I 25.5; hkl 2 0 6, 52.2°, I 15.5; hkl 1 2 9, 64.6°, I 12.5; hkl 3 2 3, 65.0°, I 17.6

Structural model:
```
data_Ho5Au6
_chemical_formula_sum 'Ho10 Au12'
_symmetry_space_group_name_H-M 'I m m m'
_symmetry_Int_Tables_number 71
_symmetry_space_group_name_Hall '-I 2 2'
_cell_length_a 4.9342
_cell_length_b 7.3020
_cell_length_c 14.9227
_cell_angle_alpha 90.00
_cell_angle_beta 90.00
_cell_angle_gamma 90.00
loop_
_atom_site_label
_atom_site_type_symbol
_atom_site_fract_x
_atom_site_fract_y
_atom_site_fract_z
_atom_site_occupancy
Ho1 Ho 0.0000 0.0000 0.0000 1
Ho2 Ho 0.0000 0.0000 0.3533 1
Ho3 Ho 0.0000 0.5000 0.3280 1
Au1 Au 0.0000 0.2315 0.1780 1
Au2 Au 0.0000 0.2774 0.5000 1
```


This entry pairs a crystal structure of HoAu6 with its simulated X-ray diffraction stick pattern. Radiation: Cu Ka. Structure: the PBE geometry in Alexandria.
Peak positions follow from Bragg's law for the DFT cell and can differ from measured ones.

The 6 most intense peaks (5° ≤ 2θ ≤ 70°), in order of rising 2θ:
hkl 4 1 1, 36.5°, I 76.2; hkl 1 0 4, 37.2°, I 50.3; hkl 3 3 1, 37.6°, I 81.2; hkl 3 1 3, 38.4°, I 58.0; hkl 4 0 2, 38.9°, I 33.5; hkl 4 1 2, 39.9°, I 100.0

Structural model:
```
data_HoAu6
_chemical_formula_sum 'Ho8 Au48'
_symmetry_space_group_name_H-M 'P 42/n c m'
_symmetry_Int_Tables_number 138
_cell_length_a 10.4674
_cell_length_b 10.4674
_cell_length_c 9.9490
_cell_angle_alpha 90.00
_cell_angle_beta 90.00
_cell_angle_gamma 90.00
loop_
_symmetry_equiv_pos_as_xyz
'x,y,z'
'-x,-y,-z'
'-y+1/2,x,z+1/2'
'y+1/2,-x,-z+1/2'
'-x+1/2,-y+1/2,z'
'x+1/2,y+1/2,-z'
'y,-x+1/2,z+1/2'
'-y,x+1/2,-z+1/2'
'x+1/2,-y,-z+1/2'
'-x+1/2,y,z+1/2'
'-y,-x,-z'
'y,x,z'
'-x,y+1/2,-z+1/2'
'x,-y+1/2,z+1/2'
'y+1/2,x+1/2,-z'
'-y+1/2,-x+1/2,z'
loop_
_atom_site_label
_atom_site_type_symbol
_atom_site_fract_x
_atom_site_fract_y
_atom_site_fract_z
_atom_site_occupancy
Ho1 Ho 0.0728 0.0728 0.2110 1
Au1 Au 0.0000 0.0000 0.5000 1
Au2 Au 0.0141 0.6802 0.5775 1
Au3 Au 0.1214 0.6974 0.8528 1
Au4 Au 0.1498 0.1498 0.6790 1
Au5 Au 0.2500 0.2500 0.4314 1
```